[1]
This entry pairs a crystal structure of SmGa2GeIr with its simulated XRD peak list. Radiation: Cu Kα (weighted mean of Kα1 and Kα2). Structure: a structure optimized by DFT (GGA-PBE).
Peak positions follow from Bragg's law for the DFT cell and can differ from measured ones.

Cell and atoms:
Cell: 6.2798 6.2798 6.2798 Å, 142.54 141.81 54.57°
Atoms (fractional coordinates):
Sm 0.0000 0.0000 0.0000
Ga 0.3841 0.3841 0.0000
Ga 0.7528 0.2528 0.5000
Ge 0.6076 0.6076 0.0000
Ir 0.2423 0.7423 0.5000

Main lines, in order of falling intensity (2θ from 10° to 90°):
- d 2.558, 2θ 35.08, I = 1000
- d 2.735, 2θ 32.75, I = 243
- d 2.054, 2θ 44.09, I = 219
- d 2.017, 2θ 44.95, I = 207
- d 2.758, 2θ 32.47, I = 169
- d 2.003, 2θ 45.26, I = 165
- d 1.962, 2θ 46.28, I = 149
- d 1.439, 2θ 64.78, I = 138
- d 1.562, 2θ 59.13, I = 132
- d 1.263, 2θ 75.21, I = 131

[2]
This entry pairs a crystal structure of CuSiAgAu with its simulated XRD peak list. Radiation: Cu Kα (weighted mean of Kα1 and Kα2). Structure: a structure optimized by DFT (GGA-PBE).
Peak positions follow from Bragg's law for the DFT cell and can differ from measured ones.

Cell and atoms:
Cell: 4.4573 4.4573 4.4573 Å, 60.00 60.00 60.00°
Atoms (fractional coordinates):
Cu 0.0000 0.0000 0.0000
Si 0.5000 0.5000 0.5000
Ag 0.7500 0.7500 0.7500
Au 0.2500 0.2500 0.2500

Main lines, in order of falling intensity (2θ from 10° to 90°):
- d 2.229, 2θ 40.47, I = 1000
- d 3.152, 2θ 28.32, I = 348
- d 1.287, 2θ 73.62, I = 333
- d 1.576, 2θ 58.57, I = 165
- d 1.410, 2θ 66.31, I = 130
- d 3.639, 2θ 24.46, I = 126
- d 1.114, 2θ 87.55, I = 110
- d 1.820, 2θ 50.13, I = 99
- d 1.901, 2θ 47.86, I = 71
- d 1.446, 2θ 64.43, I = 31

[3]
This entry pairs a crystal structure of Mg5Rh with its simulated XRD peak list. Radiation: Cu Kα (weighted mean of Kα1 and Kα2). Structure: a structure optimized by DFT (GGA-PBE).
Peak positions follow from Bragg's law for the DFT cell and can differ from measured ones.

Cell and atoms:
Cell: 3.2504 3.2504 11.2904 Å, 90.00 90.00 90.00°
Atoms (fractional coordinates):
Mg 0.0000 0.0000 0.0000
Mg 0.0000 0.0000 0.3734
Mg 0.0000 0.0000 0.6266
Mg 0.5000 0.5000 0.1872
Mg 0.5000 0.5000 0.8128
Rh 0.5000 0.5000 0.5000

Main lines, in order of falling intensity (2θ from 10° to 90°):
- d 2.460, 2θ 36.53, I = 1000
- d 2.298, 2θ 39.20, I = 479
- d 5.645, 2θ 15.70, I = 389
- d 2.130, 2θ 42.43, I = 362
- d 1.356, 2θ 69.30, I = 286
- d 3.123, 2θ 28.58, I = 236
- d 1.625, 2θ 56.64, I = 158
- d 2.252, 2θ 40.03, I = 152
- d 3.250, 2θ 27.44, I = 146
- d 3.763, 2θ 23.64, I = 136

[4]
This entry pairs a crystal structure of PuHfNi with its simulated XRD peak list. Radiation: Cu Kα (weighted mean of Kα1 and Kα2). Structure: a structure optimized by DFT (GGA-PBE).
Peak positions follow from Bragg's law for the DFT cell and can differ from measured ones.

Cell and atoms:
Cell: 10.1273 9.4467 5.3748 Å, 81.18 67.19 31.63°
Atoms (fractional coordinates):
Pu 0.0438 0.0438 0.2062
Pu 0.2062 0.2062 0.0438
Pu 0.7938 0.7938 0.9562
Pu 0.9562 0.9562 0.7938
Hf 0.2050 0.5450 0.2050
Hf 0.4550 0.7950 0.4550
Hf 0.5450 0.2050 0.5450
Hf 0.7950 0.4550 0.7950
Ni 0.2519 0.2519 0.4981
Ni 0.4981 0.4981 0.2519
Ni 0.5019 0.5019 0.7481
Ni 0.7481 0.7481 0.5019

Main lines, in order of falling intensity (2θ from 10° to 90°):
- d 2.656, 2θ 33.75, I = 1000
- d 2.517, 2θ 35.67, I = 861
- d 2.665, 2θ 33.62, I = 821
- d 2.268, 2θ 39.74, I = 673
- d 2.108, 2θ 42.89, I = 660
- d 2.878, 2θ 31.07, I = 590
- d 2.452, 2θ 36.65, I = 383
- d 1.528, 2θ 60.61, I = 340
- d 2.385, 2θ 37.72, I = 283
- d 2.047, 2θ 44.25, I = 277